(1)
# Hf3PtRh2
Simulated powder diffraction line list, Cu Kα. Input: a crystal structure in Alexandria, relaxed with PBE.
Lines closer than 0.1° are merged.

Principal peaks in the range 2θ from 10° to 80°, low angle first:
32.99 deg, I 4; 38.43 deg, I 100; 38.81 deg, I 26; 38.91 deg, I 26; 54.81 deg, I 7; 56.13 deg, I 18; 69.21 deg, I 14; 70.00 deg, I 17; 70.15 deg, I 17; 72.56 deg, I 3

Structural model:
abc: 4.6289 13.9235 3.3499
angles: 90.00 90.00 90.00
Sites, in units of the cell vectors:
Hf 0.2500 0.0820 0.0095
Hf 0.2500 0.4180 0.0095
Hf 0.2500 0.7500 0.9771
Hf 0.7500 0.2500 0.0229
Hf 0.7500 0.5820 0.9905
Hf 0.7500 0.9180 0.9905
Pt 0.2500 0.2500 0.5762
Pt 0.7500 0.7500 0.4238
Rh 0.2500 0.5806 0.5455
Rh 0.2500 0.9194 0.5455
Rh 0.7500 0.0806 0.4545
Rh 0.7500 0.4194 0.4545

(2)
# Na2Li2UN4
Simulated powder diffraction line list, Cu Kα. Input: a crystal structure in Alexandria, relaxed with PBE.
Lines closer than 0.1° are merged.

Principal peaks in the range 2θ from 10° to 80°, low angle first:
14.18 deg, I 100; 15.66 deg, I 65; 19.26 deg, I 30; 22.96 deg, I 27; 27.11 deg, I 37; 27.83 deg, I 27; 30.21 deg, I 20; 33.38 deg, I 23; 35.15 deg, I 23; 36.46 deg, I 37

Structural model:
abc: 6.0093 6.0093 7.7855
angles: 124.83 124.83 34.08
Sites, in units of the cell vectors:
Na 0.1808 0.1808 0.2855
Na 0.8192 0.8192 0.7145
Li 0.3491 0.3491 0.1111
Li 0.6509 0.6509 0.8889
U 0.0000 0.0000 0.5000
N 0.1917 0.1917 0.7872
N 0.4405 0.4405 0.6125
N 0.5595 0.5595 0.3875
N 0.8083 0.8083 0.2128

(3)
# Zr2NpRu4
Simulated powder diffraction line list, Cu Kα. Input: a crystal structure in Alexandria, relaxed with PBE.
Lines closer than 0.1° are merged.

Principal peaks in the range 2θ from 10° to 80°, low angle first:
12.14 deg, I 40; 22.77 deg, I 38; 30.41 deg, I 18; 39.32 deg, I 100; 40.04 deg, I 85; 41.30 deg, I 13; 55.08 deg, I 19; 57.37 deg, I 29; 71.29 deg, I 17; 71.78 deg, I 30

Structural model:
abc: 7.7573 7.7573 7.7573
angles: 34.36 34.36 34.36
Sites, in units of the cell vectors:
Zr 0.2391 0.2391 0.2391
Zr 0.7609 0.7609 0.7609
Np 0.0000 0.0000 0.0000
Ru 0.1170 0.1170 0.1170
Ru 0.3720 0.3720 0.3720
Ru 0.6280 0.6280 0.6280
Ru 0.8830 0.8830 0.8830

(4)
# PrDy12Y2
Simulated powder diffraction line list, Cu Kα. Input: a crystal structure in Alexandria, relaxed with PBE.
Lines closer than 0.1° are merged.

Principal peaks in the range 2θ from 10° to 80°, low angle first:
26.19 deg, I 23; 29.86 deg, I 54; 30.69 deg, I 67; 31.76 deg, I 100; 33.06 deg, I 54; 33.22 deg, I 46; 37.09 deg, I 56; 47.95 deg, I 21; 58.67 deg, I 24; 61.91 deg, I 22

Structural model:
abc: 6.6551 6.6551 24.7176
angles: 90.00 90.00 115.73
Sites, in units of the cell vectors:
Pr 0.2500 0.7500 0.9998
Pr 0.7500 0.2500 0.0002
Dy 0.0005 0.9995 0.0810
Dy 0.9995 0.0005 0.9190
Dy 0.9995 0.4995 0.1311
Dy 0.0005 0.5005 0.8689
Dy 0.0088 0.5088 0.4147
Dy 0.0105 0.9895 0.5616
Dy 0.2500 0.2500 0.2015
Dy 0.2500 0.2500 0.3276
Dy 0.2500 0.2500 0.6724
Dy 0.2500 0.2500 0.7985
Dy 0.4895 0.5105 0.5616
Dy 0.4912 0.9912 0.4147
Dy 0.5005 0.0005 0.1311
Dy 0.4995 0.9995 0.8689
Dy 0.4995 0.5005 0.0810
Dy 0.5005 0.4995 0.9190
Dy 0.5088 0.0088 0.5853
Dy 0.5105 0.4895 0.4384
Dy 0.7500 0.7500 0.2015
Dy 0.7500 0.7500 0.3276
Dy 0.7500 0.7500 0.6724
Dy 0.7500 0.7500 0.7985
Dy 0.9895 0.0105 0.4384
Dy 0.9912 0.4912 0.5853
Y 0.2500 0.7500 0.2679
Y 0.2500 0.7500 0.7293
Y 0.7500 0.2500 0.2707
Y 0.7500 0.2500 0.7321

(5)
# PmMg6Zn6
Simulated powder diffraction line list, Cu Kα. Input: a crystal structure in Alexandria, relaxed with PBE.
Lines closer than 0.1° are merged.

Principal peaks in the range 2θ from 10° to 80°, low angle first:
13.22 deg, I 41; 18.62 deg, I 33; 26.49 deg, I 50; 26.62 deg, I 40; 37.75 deg, I 69; 37.89 deg, I 100; 38.04 deg, I 52; 38.27 deg, I 36; 42.54 deg, I 36; 54.55 deg, I 37

Structural model:
abc: 7.2404 7.2404 7.2404
angles: 135.36 98.96 97.63
Sites, in units of the cell vectors:
Pm 0.0000 0.0000 0.0000
Mg 0.1978 0.5000 0.6978
Mg 0.3462 0.3462 0.0000
Mg 0.3474 0.0000 0.3474
Mg 0.6526 0.0000 0.6526
Mg 0.6538 0.6538 0.0000
Mg 0.8022 0.5000 0.3022
Zn 0.0000 0.0000 0.5000
Zn 0.0000 0.5000 0.0000
Zn 0.2243 0.7243 0.5000
Zn 0.5000 0.0000 0.0000
Zn 0.5000 0.5000 0.5000
Zn 0.7757 0.2757 0.5000

(6)
# PrHo8Tm3
Simulated powder diffraction line list, Cu Kα. Input: a crystal structure in Alexandria, relaxed with PBE.
Lines closer than 0.1° are merged.

Principal peaks in the range 2θ from 10° to 80°, low angle first:
27.64 deg, I 17; 31.65 deg, I 49; 31.93 deg, I 100; 32.24 deg, I 67; 36.08 deg, I 34; 45.83 deg, I 18; 52.05 deg, I 22; 56.56 deg, I 17; 57.08 deg, I 18; 66.76 deg, I 22

Structural model:
abc: 8.5803 8.5803 8.5803
angles: 136.35 98.32 97.57
Sites, in units of the cell vectors:
Pr 0.0000 0.0000 0.0000
Ho 0.0827 0.2511 0.8315
Ho 0.2601 0.2447 0.5049
Ho 0.2601 0.7553 0.0154
Ho 0.4196 0.2511 0.1685
Ho 0.5804 0.7489 0.8315
Ho 0.7399 0.2447 0.9846
Ho 0.7399 0.7553 0.4951
Ho 0.9173 0.7489 0.1685
Tm 0.2615 0.7615 0.5000
Tm 0.5000 0.5000 0.0000
Tm 0.7385 0.2385 0.5000

(7)
# Hg5Rh
Simulated powder diffraction line list, Cu Kα. Input: a crystal structure in Alexandria, relaxed with PBE.
Lines closer than 0.1° are merged.

Principal peaks in the range 2θ from 10° to 80°, low angle first:
31.18 deg, I 21; 31.67 deg, I 19; 34.33 deg, I 100; 38.36 deg, I 9; 40.64 deg, I 43; 52.42 deg, I 20; 58.83 deg, I 15; 60.12 deg, I 18; 68.37 deg, I 9; 69.92 deg, I 26

Structural model:
abc: 3.1393 3.1393 14.1265
angles: 90.00 90.00 90.00
Sites, in units of the cell vectors:
Hg 0.0000 0.0000 0.0000
Hg 0.0000 0.0000 0.3752
Hg 0.0000 0.0000 0.6248
Hg 0.5000 0.5000 0.1893
Hg 0.5000 0.5000 0.8107
Rh 0.5000 0.5000 0.5000